# 1
For Pr4Er3Tm2, a cell relaxed with PBE gives the simulated X-ray diffraction stick pattern in this record (Cu Kα X-rays).

Most intense lines, 2θ = 15–90°, most intense first:
2θ = 31.17°, intensity 100; 2θ = 31.60°, intensity 66; 2θ = 31.47°, intensity 33; 2θ = 61.84°, intensity 30; 2θ = 56.01°, intensity 23; 2θ = 44.90°, intensity 22; 2θ = 45.03°, intensity 12; 2θ = 55.83°, intensity 11

Atomic structure:
a = 9.834 Å, b = 9.834 Å, c = 7.073 Å
α = 90.02°, β = 90.02°, γ = 59.73°
Fractional coordinates of all 18 atoms:
Pr (0.151, 0.821, 0.000)
Pr (0.153, 0.525, 0.500)
Pr (0.179, 0.849, 0.500)
Pr (0.475, 0.847, 0.000)
Pr (0.525, 0.153, 0.000)
Pr (0.821, 0.151, 0.500)
Pr (0.847, 0.475, 0.500)
Pr (0.849, 0.179, 0.000)
Er (0.172, 0.172, 0.250)
Er (0.172, 0.172, 0.750)
Er (0.500, 0.500, 0.250)
Er (0.500, 0.500, 0.750)
Er (0.828, 0.828, 0.250)
Er (0.828, 0.828, 0.750)
Tm (0.178, 0.475, 0.000)
Tm (0.475, 0.178, 0.500)
Tm (0.525, 0.822, 0.500)
Tm (0.822, 0.525, 0.000)

# 2
For La3CuN3, a cell relaxed with PBE gives the simulated X-ray diffraction stick pattern in this record (Cu Kα X-rays).

Most intense lines, 2θ = 15–90°, most intense first:
2θ = 31.28°, intensity 100; 2θ = 33.57°, intensity 67; 2θ = 58.60°, intensity 34; 2θ = 48.21°, intensity 23; 2θ = 54.18°, intensity 19; 2θ = 46.07°, intensity 15; 2θ = 30.62°, intensity 12; 2θ = 25.70°, intensity 12

Atomic structure:
a = 3.775 Å, b = 3.775 Å, c = 8.759 Å
α = 90.00°, β = 90.00°, γ = 90.00°
Fractional coordinates of all 7 atoms:
La (0.000, 0.000, 0.000)
La (0.500, 0.500, 0.287)
La (0.500, 0.500, 0.713)
Cu (0.000, 0.000, 0.500)
N (0.000, 0.000, 0.284)
N (0.000, 0.000, 0.716)
N (0.500, 0.500, 0.000)